For CaPtO6, a cell relaxed with GGA-PBE gives the computed PXRD pattern in this record (Cu Kα, 1.54184 Å).

Structure:
Cell lengths 6.608, 11.555, 7.173 Å; angles 90.00, 90.70, 90.00 degrees
Space group Cc (No. 9)
Asymmetric unit:
Ca (0.000, 0.168, 0.000) (multiplicity 4)
Pt (0.000, 0.500, 0.248) (multiplicity 4)
O (0.059, 0.358, 0.086) (multiplicity 4)
O (0.185, 0.401, 0.585) (multiplicity 4)
O (0.243, 0.459, 0.414) (multiplicity 4)
O (0.256, 0.039, 0.082) (multiplicity 4)
O (0.311, 0.097, 0.908) (multiplicity 4)
O (0.445, 0.143, 0.410) (multiplicity 4)

Top 10 peaks for 2θ = 10–80°, in order of rising 2θ:
| two_theta | d (Å) | I/Imax |
| --- | --- | --- |
| 15.34 | 5.778 | 52 |
| 15.45 | 5.736 | 100 |
| 26.79 | 3.328 | 27 |
| 26.99 | 3.304 | 13 |
| 29.27 | 3.051 | 41 |
| 29.52 | 3.026 | 20 |
| 36.74 | 2.446 | 14 |
| 40.06 | 2.251 | 24 |
| 40.48 | 2.228 | 12 |
| 48.79 | 1.867 | 17 |